# SiP4PdPbO14
Computed powder diffraction line list, Cu Ka. Input: a structure optimized by DFT (GGA-PBE).
Neutral-atom scattering factors, no anomalous dispersion.

Structural model:
abc: 4.6575 17.4082 6.5350
angles: 90.00 102.05 90.00
Space group P2_1/m (No. 11)
Unique sites:
Si 0.0000 0.0000 0.0000 (multiplicity 2)
P 0.1165 0.1228 0.3530 (multiplicity 4)
P 0.4317 0.0863 0.7776 (multiplicity 4)
Pd 0.3811 0.7500 0.6426 (multiplicity 2)
Pb 0.1029 0.2500 0.8604 (multiplicity 2)
O 0.0672 0.5677 0.8042 (multiplicity 4)
O 0.0726 0.6697 0.5243 (multiplicity 4)
O 0.1594 0.0746 0.8746 (multiplicity 4)
O 0.3092 0.1714 0.2368 (multiplicity 4)
O 0.3223 0.0714 0.5280 (multiplicity 4)
O 0.3442 0.5225 0.1594 (multiplicity 4)
O 0.4658 0.6689 0.1878 (multiplicity 4)

Main lines, sorted by position (2θ = 10–80°):
d (Å)  2theta  I_rel  h k l
8.704  10.16  793  0 2 0
4.352  20.41  174  0 4 0
4.029  22.06  358  1 1 -1
3.370  26.45  1000  1 3 -1
3.159  28.25  178  1 2 1
3.143  28.40  636  0 1 2
2.901  30.82  162  0 6 0
2.674  33.51  362  1 4 1
2.665  33.63  213  1 5 -1
2.204  40.94  302  1 6 1



# BaNa3P2O8
Computed powder diffraction line list, Cu Ka. Input: a structure optimized by DFT (GGA-PBE).
Neutral-atom scattering factors, no anomalous dispersion.

Structural model:
abc: 5.6227 5.6227 7.1382
angles: 90.00 90.00 120.00
Space group P-3m1 (No. 164)
Unique sites:
Ba 0.0000 0.0000 0.0000 (multiplicity 1)
Na 0.0000 0.0000 0.5000 (multiplicity 1)
Na 0.3333 0.6667 0.6689 (multiplicity 2)
P 0.3333 0.6667 0.2207 (multiplicity 2)
O 0.1841 0.3681 0.2978 (multiplicity 6)
O 0.3333 0.6667 0.0035 (multiplicity 2)

Main lines, sorted by position (2θ = 10–80°):
d (Å)  2theta  I_rel  h k l
7.138  12.40  411  0 0 1
4.869  18.22  379  1 0 0
4.023  22.10  813  0 1 1
2.879  31.07  948  0 1 2
2.811  31.83  1000  1 1 0
2.616  34.28  415  1 1 1
2.304  39.09  248  0 2 1
2.209  40.86  228  1 1 2
2.011  45.08  580  2 0 2
1.636  56.24  273  1 2 2



# NbCr3Cu2S8
Computed powder diffraction line list, Cu Ka. Input: a structure optimized by DFT (GGA-PBE).
Neutral-atom scattering factors, no anomalous dispersion.

Structural model:
abc: 7.0001 11.8589 11.4085
angles: 90.00 90.89 90.00
Space group P2_1 (No. 4)
Unique sites:
Nb 0.1058 0.0000 0.1247 (multiplicity 2)
Nb 0.3873 0.3514 0.5826 (multiplicity 2)
Cr 0.1092 0.6267 0.6581 (multiplicity 2)
Cr 0.1239 0.5042 0.3735 (multiplicity 2)
Cr 0.1331 0.1307 0.8499 (multiplicity 2)
Cr 0.3689 0.6491 0.1430 (multiplicity 2)
Cr 0.3844 0.1481 0.3590 (multiplicity 2)
Cr 0.3863 0.8656 0.8865 (multiplicity 2)
Cu 0.1228 0.3559 0.0966 (multiplicity 2)
Cu 0.1263 0.8571 0.3835 (multiplicity 2)
Cu 0.3776 0.9919 0.6250 (multiplicity 2)
Cu 0.3864 0.4936 0.8716 (multiplicity 2)
S 0.1113 0.5578 0.0280 (multiplicity 2)
S 0.1144 0.3146 0.4651 (multiplicity 2)
S 0.1168 0.0425 0.4786 (multiplicity 2)
S 0.1230 0.6856 0.2806 (multiplicity 2)
S 0.1227 0.9519 0.7646 (multiplicity 2)
S 0.1333 0.4458 0.7416 (multiplicity 2)
S 0.1388 0.1900 0.2167 (multiplicity 2)
S 0.1625 0.8149 0.0327 (multiplicity 2)
S 0.3494 0.5562 0.5242 (multiplicity 2)
S 0.3742 0.0509 0.9752 (multiplicity 2)
S 0.3736 0.6843 0.7858 (multiplicity 2)
S 0.3750 0.8099 0.5445 (multiplicity 2)
S 0.3759 0.4663 0.2344 (multiplicity 2)
S 0.3777 0.9622 0.2751 (multiplicity 2)
S 0.3792 0.3211 0.9719 (multiplicity 2)
S 0.3802 0.1929 0.7154 (multiplicity 2)

Main lines, sorted by position (2θ = 10–80°):
d (Å)  2theta  I_rel  h k l
5.929  14.94  375  0 2 0
3.249  27.45  1000  0 3 2
2.631  34.08  516  0 4 2
2.535  35.41  592  2 1 -3
2.498  35.95  466  2 1 3
2.377  37.84  385  2 2 -3
2.347  38.36  517  2 2 3
1.933  47.01  292  2 5 1
1.750  52.28  435  4 0 0
1.713  53.48  341  0 3 6



# K2LiInAs2
Computed powder diffraction line list, Cu Ka. Input: a structure optimized by DFT (GGA-PBE).
Neutral-atom scattering factors, no anomalous dispersion.

Structural model:
abc: 13.0228 15.7979 6.4544
angles: 90.00 90.00 90.00
Space group Cmce (No. 64)
Unique sites:
K 0.0000 0.1733 0.2243 (multiplicity 8)
K 0.2500 0.1763 0.7500 (multiplicity 8)
Li 0.1203 0.0000 0.0000 (multiplicity 8)
In 0.1315 0.0000 0.5000 (multiplicity 8)
As 0.0000 0.0980 0.7307 (multiplicity 8)
As 0.2500 0.1009 0.2500 (multiplicity 8)

Main lines, sorted by position (2θ = 10–80°):
d (Å)  2theta  I_rel  h k l
7.899  11.20  998  0 2 0
5.431  16.32  748  1 1 1
3.964  22.43  364  2 2 1
3.894  22.84  341  1 3 1
3.512  25.36  296  3 1 1
2.991  29.87  1000  2 4 1
2.512  35.74  618  4 4 0
2.499  35.94  604  0 4 2
2.292  39.31  799  4 0 2
1.814  50.30  392  2 8 1



# Ca4Ti3Si4SnO20
Computed powder diffraction line list, Cu Ka. Input: a structure optimized by DFT (GGA-PBE).
Neutral-atom scattering factors, no anomalous dispersion.

Structural model:
abc: 5.5377 5.5426 13.1378
angles: 92.38 92.22 105.70
Space group P-1 (No. 2)
Unique sites:
Ca 0.0456 0.2040 0.3757 (multiplicity 2)
Ca 0.4538 0.2894 0.1291 (multiplicity 2)
Ti 0.2519 0.7486 0.2523 (multiplicity 2)
Ti 0.5000 0.0000 0.5000 (multiplicity 1)
Si 0.1976 0.0590 0.8724 (multiplicity 2)
Si 0.3056 0.4434 0.6241 (multiplicity 2)
Sn 0.0000 0.5000 0.0000 (multiplicity 1)
O 0.0781 0.0004 0.1910 (multiplicity 2)
O 0.0822 0.4519 0.7027 (multiplicity 2)
O 0.2056 0.5524 0.1306 (multiplicity 2)
O 0.2170 0.8440 0.9533 (multiplicity 2)
O 0.2461 0.1706 0.5583 (multiplicity 2)
O 0.2671 0.3318 0.9382 (multiplicity 2)
O 0.2969 0.6679 0.5461 (multiplicity 2)
O 0.3044 0.9457 0.3761 (multiplicity 2)
O 0.4150 0.0435 0.7915 (multiplicity 2)
O 0.4210 0.4959 0.3104 (multiplicity 2)

Main lines, sorted by position (2θ = 10–80°):
d (Å)  2theta  I_rel  h k l
5.028  17.64  398  0 1 -1
3.293  27.07  1000  1 0 3
3.058  29.20  667  1 1 -2
2.653  33.79  615  -2 1 1
2.634  34.04  251  1 -1 4
2.629  34.10  262  -1 1 4
2.108  42.91  208  1 2 1
1.737  52.70  160  0 2 -6
1.676  54.77  256  3 0 -3
1.519  61.02  188  -1 2 7